Simulated powder XRD pattern of Mg5Fe19O32 for a wavelength of 1.5418 Å, from a structure optimized by DFT (PBE+U).
Intensities are scaled so that the largest is 100.

Structural model:
abc: 8.5437 8.5437 10.4605
angles: 114.20 114.20 89.66
Fractional positions:
Mg 0.0000 0.0000 0.0000
Mg 0.0000 0.5000 0.5000
Mg 0.2500 0.2500 0.0006
Mg 0.5000 0.0000 0.5000
Mg 0.7500 0.7500 0.9994
Fe 0.0620 0.0620 0.3760
Fe 0.1220 0.3743 0.2484
Fe 0.1272 0.3727 0.7508
Fe 0.1870 0.6897 0.1214
Fe 0.2486 0.7514 0.5000
Fe 0.3103 0.8130 0.8786
Fe 0.3727 0.1272 0.7508
Fe 0.3743 0.1220 0.2484
Fe 0.4403 0.4403 0.6228
Fe 0.5000 0.5000 0.0000
Fe 0.5597 0.5597 0.3772
Fe 0.6257 0.8780 0.7516
Fe 0.6273 0.8728 0.2492
Fe 0.6897 0.1870 0.1214
Fe 0.7514 0.2486 0.5000
Fe 0.8130 0.3103 0.8786
Fe 0.8728 0.6273 0.2492
Fe 0.8780 0.6257 0.7516
Fe 0.9380 0.9380 0.6240
O 0.0063 0.7420 0.4931
O 0.0113 0.2517 0.0115
O 0.1120 0.6215 0.7457
O 0.1293 0.1293 0.7567
O 0.1300 0.6209 0.2580
O 0.1328 0.1328 0.2474
O 0.2407 0.5053 0.4914
O 0.2517 0.0113 0.0115
O 0.2579 0.4928 0.9948
O 0.2580 0.9937 0.5069
O 0.3639 0.3639 0.2476
O 0.3785 0.8880 0.2543
O 0.3790 0.3790 0.7573
O 0.3791 0.8700 0.7420
O 0.4928 0.2579 0.9948
O 0.4947 0.7593 0.5086
O 0.5053 0.2407 0.4914
O 0.5072 0.7421 0.0052
O 0.6209 0.1300 0.2580
O 0.6210 0.6210 0.2427
O 0.6215 0.1120 0.7457
O 0.6361 0.6361 0.7524
O 0.7420 0.0063 0.4931
O 0.7421 0.5072 0.0052
O 0.7483 0.9887 0.9885
O 0.7593 0.4947 0.5086
O 0.8672 0.8672 0.7526
O 0.8700 0.3791 0.7420
O 0.8707 0.8707 0.2433
O 0.8880 0.3785 0.2543
O 0.9887 0.7483 0.9885
O 0.9937 0.2580 0.5069

Main lines, low angle first (2θ = 10–90°):
- 2θ = 17.96°, I 15
- 2θ = 29.52°, I 33
- 2θ = 29.61°, I 36
- 2θ = 34.80°, I 87
- 2θ = 34.88°, I 100
- 2θ = 42.33°, I 33
- 2θ = 55.85°, I 28
- 2θ = 55.98°, I 31
- 2θ = 61.18°, I 15
- 2θ = 61.42°, I 57

=====

Simulated powder XRD pattern of MgFe4O6 for a wavelength of 1.5418 Å, from a structure optimized by DFT (PBE+U).
Intensities are scaled so that the largest is 100.

Structural model:
abc: 5.8140 5.8140 5.8140
angles: 54.70 54.70 54.70
Fractional positions:
Mg 0.0000 0.0000 0.0000
Fe 0.2258 0.2258 0.2258
Fe 0.4105 0.4105 0.4105
Fe 0.5911 0.5911 0.5911
Fe 0.7762 0.7762 0.7762
O 0.0008 0.3657 0.6354
O 0.2039 0.7978 0.5008
O 0.3657 0.6354 0.0008
O 0.5008 0.2039 0.7978
O 0.6354 0.0008 0.3657
O 0.7978 0.5008 0.2039

Main lines, low angle first (2θ = 10–90°):
- 2θ = 20.11°, I 39
- 2θ = 33.55°, I 100
- 2θ = 36.05°, I 79
- 2θ = 38.33°, I 20
- 2θ = 50.06°, I 39
- 2θ = 50.38°, I 51
- 2θ = 59.98°, I 41
- 2θ = 61.62°, I 34
- 2θ = 70.51°, I 11
- 2θ = 81.83°, I 11

=====

Simulated powder XRD pattern of MgFe2O4 for a wavelength of 1.5418 Å, from a structure optimized by DFT (PBE+U).
Intensities are scaled so that the largest is 100.

Structural model:
abc: 6.0496 6.0496 14.8064
angles: 90.00 90.00 120.00
Fractional positions:
Mg 0.0000 0.0000 0.0000
Mg 0.0000 0.0000 0.2433
Mg 0.0000 0.0000 0.6227
Mg 0.3333 0.6667 0.3293
Mg 0.3333 0.6667 0.9563
Mg 0.6667 0.3333 0.6659
Fe 0.0051 0.5026 0.1193
Fe 0.1631 0.3261 0.7866
Fe 0.1631 0.8369 0.7866
Fe 0.3333 0.6667 0.5772
Fe 0.3368 0.1684 0.4530
Fe 0.4974 0.5026 0.1193
Fe 0.4974 0.9949 0.1193
Fe 0.6667 0.3333 0.2841
Fe 0.6667 0.3333 0.9081
Fe 0.6739 0.8369 0.7866
Fe 0.8316 0.1684 0.4530
Fe 0.8316 0.6632 0.4530
O 0.0000 0.0000 0.3820
O 0.0000 0.0000 0.8629
O 0.0184 0.5092 0.8661
O 0.1591 0.3182 0.5332
O 0.1591 0.8409 0.5332
O 0.1783 0.3566 0.0444
O 0.1783 0.8217 0.0444
O 0.3089 0.1544 0.7103
O 0.3333 0.6667 0.1957
O 0.3333 0.6667 0.7097
O 0.3624 0.1812 0.2004
O 0.4908 0.5092 0.8661
O 0.4908 0.9816 0.8661
O 0.5137 0.0275 0.3742
O 0.5137 0.4863 0.3742
O 0.6434 0.8217 0.0444
O 0.6667 0.3333 0.0403
O 0.6667 0.3333 0.5282
O 0.6818 0.8409 0.5332
O 0.8188 0.1812 0.2004
O 0.8188 0.6376 0.2004
O 0.8456 0.1544 0.7103
O 0.8456 0.6911 0.7103
O 0.9725 0.4863 0.3742

Main lines, low angle first (2θ = 10–90°):
- 2θ = 17.97°, I 39
- 2θ = 29.54°, I 20
- 2θ = 34.79°, I 100
- 2θ = 36.39°, I 9
- 2θ = 42.27°, I 40
- 2θ = 52.41°, I 7
- 2θ = 55.86°, I 37
- 2θ = 61.31°, I 53
- 2θ = 72.46°, I 10
- 2θ = 87.63°, I 16

=====

Simulated powder XRD pattern of Mg2Fe7O12 for a wavelength of 1.5418 Å, from a structure optimized by DFT (PBE+U).
Intensities are scaled so that the largest is 100.

Structural model:
abc: 6.0416 6.0416 13.5078
angles: 102.84 102.84 89.77
Fractional positions:
Mg 0.1662 0.6668 0.8338
Mg 0.3332 0.8337 0.6662
Mg 0.6668 0.1662 0.3338
Mg 0.8337 0.3332 0.1662
Fe 0.0000 0.0000 0.0000
Fe 0.0000 0.0000 0.5000
Fe 0.0000 0.5000 0.0000
Fe 0.1284 0.8716 0.2500
Fe 0.2014 0.4622 0.4153
Fe 0.3321 0.3351 0.6668
Fe 0.3351 0.3321 0.1668
Fe 0.4622 0.2014 0.9153
Fe 0.5000 0.0000 0.5000
Fe 0.5378 0.7986 0.0847
Fe 0.6649 0.6679 0.8332
Fe 0.6679 0.6649 0.3332
Fe 0.7986 0.5378 0.5847
Fe 0.8716 0.1284 0.7500
O 0.0847 0.0927 0.1610
O 0.0875 0.5666 0.1663
O 0.0927 0.0847 0.6610
O 0.1018 0.5805 0.6707
O 0.2378 0.7594 0.9970
O 0.2406 0.7622 0.5030
O 0.2452 0.2458 0.0053
O 0.2458 0.2452 0.5053
O 0.4188 0.4261 0.8282
O 0.4195 0.8982 0.8293
O 0.4261 0.4188 0.3282
O 0.4334 0.9125 0.3337
O 0.5666 0.0875 0.6663
O 0.5739 0.5812 0.6718
O 0.5805 0.1018 0.1707
O 0.5812 0.5739 0.1718
O 0.7542 0.7548 0.4947
O 0.7548 0.7542 0.9947
O 0.7594 0.2378 0.4970
O 0.7622 0.2406 0.0030
O 0.8982 0.4195 0.3293
O 0.9073 0.9153 0.3390
O 0.9125 0.4334 0.8337
O 0.9153 0.9073 0.8390

Main lines, low angle first (2θ = 10–90°):
- 2θ = 29.56°, I 21
- 2θ = 29.59°, I 34
- 2θ = 34.78°, I 100
- 2θ = 34.88°, I 49
- 2θ = 42.25°, I 18
- 2θ = 52.49°, I 13
- 2θ = 55.83°, I 23
- 2θ = 55.94°, I 15
- 2θ = 56.02°, I 14
- 2θ = 61.40°, I 58

=====

Simulated powder XRD pattern of MgFe2O4 for a wavelength of 1.5418 Å, from a structure optimized by DFT (PBE+U).
Intensities are scaled so that the largest is 100.

Structural model:
abc: 2.9271 7.6638 8.0759
angles: 71.00 79.86 79.15
Fractional positions:
Mg 0.1940 0.2891 0.3299
Mg 0.8060 0.7109 0.6701
Fe 0.0983 0.0951 0.7010
Fe 0.3414 0.3196 0.9800
Fe 0.6586 0.6804 0.0200
Fe 0.9017 0.9049 0.2990
O 0.0637 0.7389 0.1573
O 0.2718 0.5966 0.8573
O 0.3580 0.7947 0.4844
O 0.3594 0.0852 0.2017
O 0.6406 0.9148 0.7983
O 0.6420 0.2053 0.5156
O 0.7282 0.4034 0.1427
O 0.9363 0.2611 0.8427

Main lines, low angle first (2θ = 10–90°):
- 2θ = 11.68°, I 76
- 2θ = 14.20°, I 35
- 2θ = 19.44°, I 70
- 2θ = 22.99°, I 31
- 2θ = 28.63°, I 77
- 2θ = 29.82°, I 36
- 2θ = 30.63°, I 32
- 2θ = 35.51°, I 100
- 2θ = 35.79°, I 33
- 2θ = 50.98°, I 50

=====

Simulated powder XRD pattern of MgFeO3 for a wavelength of 1.5418 Å, from a structure optimized by DFT (PBE+U).
Intensities are scaled so that the largest is 100.

Structural model:
abc: 5.5064 5.5064 5.5064
angles: 55.14 55.14 55.14
Fractional positions:
Mg 0.1415 0.1415 0.1415
Mg 0.8585 0.8585 0.8585
Fe 0.3476 0.3476 0.3476
Fe 0.6524 0.6524 0.6524
O 0.0584 0.7242 0.4583
O 0.2758 0.5417 0.9416
O 0.4583 0.0584 0.7242
O 0.5417 0.9416 0.2758
O 0.7242 0.4583 0.0584
O 0.9416 0.2758 0.5417

Main lines, low angle first (2θ = 10–90°):
- 2θ = 19.07°, I 45
- 2θ = 21.11°, I 35
- 2θ = 23.85°, I 59
- 2θ = 32.71°, I 100
- 2θ = 35.21°, I 77
- 2θ = 40.35°, I 72
- 2θ = 48.82°, I 47
- 2θ = 53.31°, I 86
- 2θ = 61.61°, I 38
- 2θ = 63.19°, I 47

=====

Simulated powder XRD pattern of MgFe2O3 for a wavelength of 1.5418 Å, from a structure optimized by DFT (PBE+U).
Intensities are scaled so that the largest is 100.

Structural model:
abc: 6.9625 6.9625 3.0274
angles: 102.54 102.54 143.87
Fractional positions:
Mg 0.0000 0.0000 0.0000
Fe 0.3336 0.6664 0.0000
Fe 0.6664 0.3336 0.0000
O 0.1629 0.8371 0.0000
O 0.5000 0.5000 0.0000
O 0.8371 0.1629 0.0000

Main lines, low angle first (2θ = 10–90°):
- 2θ = 13.38°, I 24
- 2θ = 35.52°, I 39
- 2θ = 35.98°, I 38
- 2θ = 40.90°, I 53
- 2θ = 41.82°, I 100
- 2θ = 59.93°, I 59
- 2θ = 60.01°, I 15
- 2θ = 61.23°, I 14
- 2θ = 75.19°, I 14
- 2θ = 76.29°, I 13

=====

Simulated powder XRD pattern of Mg3FeO4 for a wavelength of 1.5418 Å, from a structure optimized by DFT (PBE+U).
Intensities are scaled so that the largest is 100.

Structural model:
abc: 4.2809 4.2809 4.2809
angles: 90.00 90.00 90.00
Fractional positions:
Mg 0.0000 0.0000 0.5000
Mg 0.0000 0.5000 0.0000
Mg 0.5000 0.0000 0.0000
Fe 0.5000 0.5000 0.5000
O 0.0000 0.0000 0.0000
O 0.0000 0.5000 0.5000
O 0.5000 0.0000 0.5000
O 0.5000 0.5000 0.0000

Main lines, low angle first (2θ = 10–90°):
- 2θ = 20.75°, I 19
- 2θ = 29.51°, I 15
- 2θ = 36.35°, I 26
- 2θ = 42.22°, I 100
- 2θ = 47.49°, I 8
- 2θ = 52.35°, I 5
- 2θ = 61.24°, I 57
- 2θ = 65.40°, I 3
- 2θ = 73.35°, I 13
- 2θ = 77.19°, I 17